(1)
Structure and simulated powder XRD pattern of SmMgB4 (a crystal structure in OQMD, relaxed with GGA-PBE; Cu Kα (weighted mean of Kα1 and Kα2)).

Peak list (10 most intense, 2θ = 10–80°, sorted by position)
2theta  I/Imax
11.7  100
23.6  30
32.4  52
34.6  55
40.5  80
49.0  18
57.8  16
59.3  19
63.3  13
72.9  14

Cell and atoms:
```
6
Lattice="3.191 0.000 0.000 -1.596 2.764 0.000 0.000 0.000 7.541" Properties=species:S:1:pos:R:3 pbc="T T T"
Sm 0.000 0.000 0.000
Mg 0.000 0.000 3.770
B 0.000 1.843 2.048
B 0.000 1.843 5.492
B 1.596 0.921 2.048
B 1.596 0.921 5.492
```



(2)
Structure and simulated powder XRD pattern of ZnH3F (a crystal structure in OQMD, relaxed with GGA-PBE; Cu Kα (weighted mean of Kα1 and Kα2)).

Peak list (10 most intense, 2θ = 10–80°, sorted by position)
2theta  I/Imax
16.1  100
28.8  27
32.5  10
33.0  44
37.1  28
40.5  16
45.6  11
46.3  10
50.2  13
54.4  10

Cell and atoms:
```
5
Lattice="2.119 -5.505 0.000 2.119 5.505 0.000 -1.818 0.000 2.136" Properties=species:S:1:pos:R:3 pbc="T T T"
Zn 0.000 0.000 0.000
H 0.841 2.672 0.994
H 1.578 2.672 1.141
H 1.209 -4.608 1.068
F 1.209 -1.099 1.068
```



(3)
Structure and simulated powder XRD pattern of KNaZnP2O7 (a crystal structure in OQMD, relaxed with GGA-PBE; Cu Kα (weighted mean of Kα1 and Kα2)).

Peak list (10 most intense, 2θ = 10–80°, sorted by position)
2theta  I/Imax
13.8  19
14.2  33
22.2  27
27.1  39
27.9  23
28.4  100
28.8  43
35.4  20
37.3  20
38.0  20

Cell and atoms:
```
48
Lattice="7.407 0.000 0.000 0.000 7.200 0.000 -7.138 0.000 12.402" Properties=species:S:1:pos:R:3 pbc="T T T"
K -0.678 1.490 1.234
K -4.247 2.110 7.435
K 4.515 5.090 4.967
K 0.946 5.710 11.168
Na -0.801 3.779 7.589
Na 2.768 7.021 1.388
Na -2.499 0.179 11.014
Na 1.070 3.421 4.813
Zn -1.131 0.139 7.675
Zn 2.438 3.461 1.474
Zn -2.169 3.740 10.928
Zn 1.400 7.061 4.727
P -1.167 1.544 4.917
P -4.736 2.056 11.118
P 0.206 5.169 2.560
P -3.363 5.632 8.761
P 3.632 1.569 3.641
P 0.063 2.032 9.842
P 5.004 5.144 1.284
P 1.435 5.656 7.485
O -1.421 5.099 2.583
O -4.990 5.702 8.784
O -2.912 4.606 7.749
O 0.657 6.194 1.548
O -1.598 0.353 5.793
O -5.167 3.247 11.994
O -4.830 0.694 11.761
O -1.261 2.906 5.560
O 0.666 3.721 2.281
O -2.903 7.080 8.482
O 0.215 1.330 4.265
O -3.354 2.270 10.466
O -3.051 5.316 10.235
O 0.518 5.485 4.034
O -0.250 1.716 8.368
O 3.320 1.884 2.167
O 3.622 4.930 1.937
O 0.053 5.870 8.138
O 3.172 0.121 3.920
O -0.397 3.480 10.121
O 1.529 4.294 6.842
O 5.098 6.506 0.641
O 5.435 3.954 0.408
O 1.866 6.847 6.609
O -0.389 1.006 10.854
O 3.181 2.594 4.653
O 5.259 1.498 3.618
O 1.690 2.102 9.819
```



(4)
Structure and simulated powder XRD pattern of NdSm2Zn2Si4Au2 (a crystal structure in OQMD, relaxed with GGA-PBE; Cu Kα (weighted mean of Kα1 and Kα2)).

Peak list (10 most intense, 2θ = 10–80°, sorted by position)
2theta  I/Imax
23.7  14
28.9  15
33.0  23
33.3  100
37.2  13
42.8  18
42.9  18
45.7  11
62.2  12
72.3  11

Cell and atoms:
```
11
Lattice="-2.107 2.114 12.377 2.107 -2.114 12.377 2.107 2.114 -12.377" Properties=species:S:1:pos:R:3 pbc="T T T"
Nd 0.000 0.000 0.000
Sm 2.107 0.000 3.595
Sm 0.000 2.114 8.782
Zn 2.107 0.000 10.037
Zn 0.000 2.114 2.341
Si 2.107 0.000 7.674
Si 0.000 0.000 11.192
Si 0.000 0.000 13.563
Si 0.000 2.114 4.703
Au 0.000 0.000 6.201
Au 0.000 0.000 18.554
```